Record 1
# LiCa4Au4
Theoretical powder diffractogram, a wavelength of 1.5418 Å. Input: DFT lattice parameters and positions (GGA-PBE).
Kinematic intensities with the Lorentz-polarization factor, no thermal factor.

The 10 most intense peaks (10 to 90 degrees two-theta), low angle first:
18.8 deg, I = 841; 23.4 deg, I = 1000; 23.6 deg, I = 899; 24.2 deg, I = 776; 33.4 deg, I = 919; 33.5 deg, I = 670; 35.0 deg, I = 556; 35.7 deg, I = 816; 39.5 deg, I = 715; 39.7 deg, I = 565

Cell and atoms:
```
data_LiCa4Au4
_chemical_formula_sum 'Li1 Ca4 Au4'
_space_group_name_H-M_alt 'P 1'
_space_group_IT_number 1
_cell_length_a 5.465
_cell_length_b 5.841
_cell_length_c 7.694
_cell_angle_alpha 110.88
_cell_angle_beta 98.96
_cell_angle_gamma 94.31
loop_
_space_group_symop_operation_xyz
'x,y,z'
loop_
_atom_site_label
_atom_site_fract_x
_atom_site_fract_y
_atom_site_fract_z
_atom_site_occupancy
Li1 0.000 0.000 0.000 1
Ca1 0.295 0.393 0.391 1
Ca2 0.420 0.869 0.843 1
Ca3 0.768 0.545 0.073 1
Ca4 0.872 0.998 0.553 1
Au1 0.214 0.368 0.905 1
Au2 0.307 0.833 0.258 1
Au3 0.729 0.158 0.241 1
Au4 0.851 0.572 0.679 1
```

=====

Record 2
# Li2CaAu9
Theoretical powder diffractogram, a wavelength of 1.5418 Å. Input: DFT lattice parameters and positions (GGA-PBE).
Kinematic intensities with the Lorentz-polarization factor, no thermal factor.

The 10 most intense peaks (10 to 90 degrees two-theta), low angle first:
21.2 deg, I = 185; 30.5 deg, I = 152; 37.5 deg, I = 1000; 43.1 deg, I = 351; 44.3 deg, I = 140; 62.7 deg, I = 117; 63.5 deg, I = 193; 75.3 deg, I = 269; 77.0 deg, I = 94; 79.9 deg, I = 103

Cell and atoms:
```
data_Li2CaAu9
_chemical_formula_sum 'Li2 Ca1 Au9'
_space_group_name_H-M_alt 'P 4/m m m'
_space_group_IT_number 123
_space_group_name_Hall '-P 4 2'
_cell_length_a 4.193
_cell_length_b 4.193
_cell_length_c 12.274
_cell_angle_alpha 90.00
_cell_angle_beta 90.00
_cell_angle_gamma 90.00
loop_
_atom_site_label
_atom_site_fract_x
_atom_site_fract_y
_atom_site_fract_z
_atom_site_occupancy
Li1 0.000 0.000 0.157 1
Ca1 0.000 0.000 0.500 1
Au1 0.000 0.500 0.000 1
Au2 0.000 0.500 0.319 1
Au3 0.500 0.500 0.159 1
Au4 0.500 0.500 0.500 1
```

=====

Record 3
# Li2Ca3Au3
Theoretical powder diffractogram, a wavelength of 1.5418 Å. Input: DFT lattice parameters and positions (GGA-PBE).
Kinematic intensities with the Lorentz-polarization factor, no thermal factor.

The 10 most intense peaks (10 to 90 degrees two-theta), low angle first:
20.4 deg, I = 690; 23.6 deg, I = 290; 25.5 deg, I = 1000; 30.7 deg, I = 456; 35.0 deg, I = 776; 35.7 deg, I = 375; 37.1 deg, I = 350; 46.1 deg, I = 583; 47.8 deg, I = 300; 67.7 deg, I = 254

Cell and atoms:
```
data_Li2Ca3Au3
_chemical_formula_sum 'Li4 Ca6 Au6'
_space_group_name_H-M_alt 'P 63/m c m'
_space_group_IT_number 193
_space_group_name_Hall '-P 6c 2'
_cell_length_a 8.7077
_cell_length_b 8.7077
_cell_length_c 5.8246
_cell_angle_alpha 90.00
_cell_angle_beta 90.00
_cell_angle_gamma 120.00
loop_
_atom_site_label
_atom_site_fract_x
_atom_site_fract_y
_atom_site_fract_z
_atom_site_occupancy
Li1 0.3333 0.6667 0.0000 1
Ca1 0.0000 0.2694 0.2500 1
Au1 0.0000 0.3926 0.7500 1
```

=====

Record 4
# Li17Ca2Au3
Theoretical powder diffractogram, a wavelength of 1.5418 Å. Input: DFT lattice parameters and positions (GGA-PBE).
Kinematic intensities with the Lorentz-polarization factor, no thermal factor.

The 10 most intense peaks (10 to 90 degrees two-theta), low angle first:
11.4 deg, I = 607; 15.3 deg, I = 340; 17.6 deg, I = 697; 20.5 deg, I = 1000; 22.9 deg, I = 753; 30.8 deg, I = 361; 34.4 deg, I = 494; 35.7 deg, I = 240; 38.9 deg, I = 520; 50.4 deg, I = 425

Cell and atoms:
```
data_Li17Ca2Au3
_chemical_formula_sum 'Li51 Ca6 Au9'
_space_group_name_H-M_alt 'R -3 m'
_space_group_IT_number 166
_space_group_name_Hall '-R 3 2"'
_cell_length_a 10.4312
_cell_length_b 10.4312
_cell_length_c 15.1282
_cell_angle_alpha 90.00
_cell_angle_beta 90.00
_cell_angle_gamma 120.00
loop_
_atom_site_label
_atom_site_fract_x
_atom_site_fract_y
_atom_site_fract_z
_atom_site_occupancy
Li1 0.0000 0.0000 0.0964 1
Li2 0.0000 0.2625 0.0000 1
Li3 0.0000 0.5000 0.5000 1
Li4 0.0098 0.5049 0.1694 1
Ca1 0.0000 0.0000 0.3319 1
Au1 0.0000 0.5000 0.0000 1
```

=====

Record 5
# Li2Ca3Au5
Theoretical powder diffractogram, a wavelength of 1.5418 Å. Input: DFT lattice parameters and positions (GGA-PBE).
Kinematic intensities with the Lorentz-polarization factor, no thermal factor.

The 10 most intense peaks (10 to 90 degrees two-theta), low angle first:
23.8 deg, I = 1000; 26.6 deg, I = 347; 30.5 deg, I = 745; 33.9 deg, I = 504; 34.9 deg, I = 628; 36.0 deg, I = 887; 38.0 deg, I = 310; 39.0 deg, I = 459; 42.7 deg, I = 406; 67.4 deg, I = 327

Cell and atoms:
```
data_Li2Ca3Au5
_chemical_formula_sum 'Li4 Ca6 Au10'
_space_group_name_H-M_alt 'P 4/m b m'
_space_group_IT_number 127
_space_group_name_Hall '-P 4 2ab'
_cell_length_a 10.591
_cell_length_b 10.591
_cell_length_c 3.732
_cell_angle_alpha 90.00
_cell_angle_beta 90.00
_cell_angle_gamma 90.00
loop_
_atom_site_label
_atom_site_fract_x
_atom_site_fract_y
_atom_site_fract_z
_atom_site_occupancy
Li1 0.119 0.381 0.000 1
Ca1 0.000 0.000 0.000 1
Ca2 0.178 0.678 0.000 1
Au1 0.000 0.500 0.500 1
Au2 0.065 0.217 0.500 1
```

=====

Record 6
# Li2CaPmAu4
Theoretical powder diffractogram, a wavelength of 1.5418 Å. Input: DFT lattice parameters and positions (GGA-PBE).
Kinematic intensities with the Lorentz-polarization factor, no thermal factor.

The 10 most intense peaks (10 to 90 degrees two-theta), low angle first:
23.2 deg, I = 257; 25.7 deg, I = 484; 34.0 deg, I = 487; 39.2 deg, I = 1000; 50.8 deg, I = 103; 52.8 deg, I = 140; 56.6 deg, I = 145; 67.7 deg, I = 134; 71.0 deg, I = 279; 73.1 deg, I = 173

Cell and atoms:
```
data_Li2CaPmAu4
_chemical_formula_sum 'Li6 Ca3 Pm3 Au12'
_space_group_name_H-M_alt 'R -3 m'
_space_group_IT_number 166
_space_group_name_Hall '-R 3 2"'
_cell_length_a 4.6009
_cell_length_b 4.6009
_cell_length_c 28.1700
_cell_angle_alpha 90.00
_cell_angle_beta 90.00
_cell_angle_gamma 120.00
loop_
_atom_site_label
_atom_site_fract_x
_atom_site_fract_y
_atom_site_fract_z
_atom_site_occupancy
Li1 0.0000 0.0000 0.2480 1
Ca1 0.0000 0.0000 0.5000 1
Pm1 0.0000 0.0000 0.0000 1
Au1 0.0000 0.0000 0.1086 1
Au2 0.0000 0.0000 0.3905 1
```

=====

Record 7
# LiCaAuS2
Theoretical powder diffractogram, a wavelength of 1.5418 Å. Input: DFT lattice parameters and positions (GGA-PBE).
Kinematic intensities with the Lorentz-polarization factor, no thermal factor.

The 10 most intense peaks (10 to 90 degrees two-theta), low angle first:
13.5 deg, I = 1000; 19.8 deg, I = 721; 24.0 deg, I = 896; 25.6 deg, I = 552; 25.7 deg, I = 710; 32.7 deg, I = 587; 33.9 deg, I = 610; 38.0 deg, I = 453; 38.2 deg, I = 370; 42.6 deg, I = 367

Cell and atoms:
```
data_LiCaAuS2
_chemical_formula_sum 'Li2 Ca2 Au2 S4'
_space_group_name_H-M_alt 'P 1 2/c 1'
_space_group_IT_number 13
_cell_length_a 6.781
_cell_length_b 4.490
_cell_length_c 7.196
_cell_angle_alpha 90.00
_cell_angle_beta 104.82
_cell_angle_gamma 90.00
loop_
_space_group_symop_operation_xyz
'x,y,z'
'-x,-y,-z'
'-x,y,-z+1/2'
'x,-y,z+1/2'
loop_
_atom_site_label
_atom_site_fract_x
_atom_site_fract_y
_atom_site_fract_z
_atom_site_occupancy
Li1 0.000 0.012 0.250 1
Ca1 0.500 0.310 0.750 1
Au1 0.000 0.500 0.000 1
S1 0.282 0.194 0.029 1
```

=====

Record 8
# LiCaTlAu
Theoretical powder diffractogram, a wavelength of 1.5418 Å. Input: DFT lattice parameters and positions (GGA-PBE).
Kinematic intensities with the Lorentz-polarization factor, no thermal factor.

The 10 most intense peaks (10 to 90 degrees two-theta), low angle first:
21.8 deg, I = 909; 24.9 deg, I = 710; 25.6 deg, I = 648; 33.3 deg, I = 1000; 33.9 deg, I = 975; 36.0 deg, I = 793; 42.5 deg, I = 741; 58.5 deg, I = 392; 62.7 deg, I = 334; 63.7 deg, I = 283

Cell and atoms:
```
data_LiCaTlAu
_chemical_formula_sum 'Li1 Ca1 Tl1 Au1'
_space_group_name_H-M_alt 'P m m 2'
_space_group_IT_number 25
_cell_length_a 3.579
_cell_length_b 4.071
_cell_length_c 6.958
_cell_angle_alpha 90.00
_cell_angle_beta 90.00
_cell_angle_gamma 90.00
loop_
_space_group_symop_operation_xyz
'x,y,z'
'-x,-y,z'
'-x,y,z'
'x,-y,z'
loop_
_atom_site_label
_atom_site_fract_x
_atom_site_fract_y
_atom_site_fract_z
_atom_site_occupancy
Li1 0.000 0.000 0.000 1
Ca1 0.500 0.000 0.558 1
Tl1 0.000 0.500 0.269 1
Au1 0.000 0.500 0.761 1
```